Entry 1:
RbCeTeBr2: calculated PXRD pattern (Cu Kα X-rays), based on a crystal structure in Alexandria, relaxed with GGA-PBE.
No peak broadening, texture or thermal motion is included.

Crystal structure
a = 4.596 Å, b = 19.208 Å, c = 8.987 Å
α = 90.00°, β = 90.00°, γ = 90.00°
Space group Cmcm (No. 63)
Symmetry-distinct sites (fractional):
Rb  0.000  0.207  0.250 x4
Ce  0.000  0.500  0.000 x4
Te  0.000  0.003  0.250 x4
Br  0.000  0.350  0.008 x8

Principal peaks in the range 2θ = 5–70°, in order of rising 2θ:
Position (°2θ)	I/Imax
9.21	40
18.48	14
27.87	28
28.16	100
36.46	42
39.20	18
40.13	17
43.36	23
48.78	12
57.36	13

=====

Entry 2:
Sr2Ge4Rh5: calculated PXRD pattern (Cu Kα X-rays), based on a crystal structure in Alexandria, relaxed with GGA-PBE.
No peak broadening, texture or thermal motion is included.

Crystal structure
a = 5.834 Å, b = 10.137 Å, c = 14.388 Å
α = 90.00°, β = 90.00°, γ = 90.00°
Space group Fmmm (No. 69)
Symmetry-distinct sites (fractional):
Sr  0.000  0.000  0.129 x8
Ge  0.000  0.161  0.371 x16
Rh  0.000  0.000  0.500 x4
Rh  0.250  0.250  0.000 x8
Rh  0.250  0.250  0.250 x8

Principal peaks in the range 2θ = 5–70°, in order of rising 2θ:
Position (°2θ)	I/Imax
17.50	48
30.47	43
35.48	100
35.97	96
39.79	98
43.74	90
44.16	37
50.76	38
63.46	36
63.65	38

=====

Entry 3:
MgRe3Pb: calculated PXRD pattern (Cu Kα X-rays), based on a crystal structure in Alexandria, relaxed with GGA-PBE.
No peak broadening, texture or thermal motion is included.

Crystal structure
a = 4.592 Å, b = 4.592 Å, c = 4.592 Å
α = 90.00°, β = 90.00°, γ = 90.00°
Space group Pm-3m (No. 221)
Symmetry-distinct sites (fractional):
Mg  0.000  0.000  0.000 x1
Re  0.000  0.000  0.500 x3
Pb  0.500  0.500  0.500 x1

Principal peaks in the range 2θ = 5–70°, in order of rising 2θ:
Position (°2θ)	I/Imax
27.47	1
33.81	100
39.24	58
56.70	40
67.67	42

=====

Entry 4:
LiMg2P: calculated PXRD pattern (Cu Kα X-rays), based on a crystal structure in Alexandria, relaxed with GGA-PBE.
No peak broadening, texture or thermal motion is included.

Crystal structure
a = 6.694 Å, b = 6.694 Å, c = 6.694 Å
α = 90.00°, β = 90.00°, γ = 90.00°
Space group P-43m (No. 215)
Symmetry-distinct sites (fractional):
Li  0.225  0.225  0.775 x4
Mg  0.000  0.500  0.500 x3
Mg  0.223  0.223  0.223 x4
Mg  0.500  0.500  0.500 x1
P  0.000  0.000  0.000 x1
P  0.000  0.000  0.500 x3

Principal peaks in the range 2θ = 5–70°, in order of rising 2θ:
Position (°2θ)	I/Imax
13.23	8
23.01	15
26.63	15
38.02	100
44.91	5
47.03	4
49.07	3
54.86	15
62.00	7
68.70	28

=====

Entry 5:
LiCuMo2: calculated PXRD pattern (Cu Kα X-rays), based on a crystal structure in Alexandria, relaxed with GGA-PBE.
No peak broadening, texture or thermal motion is included.

Crystal structure
a = 3.154 Å, b = 4.220 Å, c = 8.911 Å
α = 90.00°, β = 90.00°, γ = 90.00°
Space group Cmm2 (No. 35)
Symmetry-distinct sites (fractional):
Li  0.000  0.000  0.000 x2
Cu  0.000  0.500  0.235 x2
Mo  0.000  0.000  0.475 x2
Mo  0.000  0.500  0.731 x2

Principal peaks in the range 2θ = 5–70°, in order of rising 2θ:
Position (°2θ)	I/Imax
9.93	100
19.93	9
30.08	8
36.98	17
40.49	25
41.07	98
42.86	22
47.23	9
58.52	8
60.43	15

=====

Entry 6:
Cu2HClF: calculated PXRD pattern (Cu Kα X-rays), based on a crystal structure in Alexandria, relaxed with GGA-PBE.
No peak broadening, texture or thermal motion is included.

Crystal structure
a = 3.910 Å, b = 3.910 Å, c = 5.396 Å
α = 90.00°, β = 90.00°, γ = 90.00°
Space group P4/mmm (No. 123)
Symmetry-distinct sites (fractional):
Cu  0.000  0.500  0.000 x2
H  0.000  0.000  0.500 x1
Cl  0.500  0.500  0.500 x1
F  0.500  0.500  0.000 x1

Principal peaks in the range 2θ = 5–70°, in order of rising 2θ:
Position (°2θ)	I/Imax
16.43	100
22.74	22
32.38	18
33.21	49
36.52	94
46.45	35
47.06	13
49.60	23
58.28	33
61.50	19

=====

Entry 7:
CrFe3Pd6: calculated PXRD pattern (Cu Kα X-rays), based on a crystal structure in Alexandria, relaxed with GGA-PBE.
No peak broadening, texture or thermal motion is included.

Crystal structure
a = 7.232 Å, b = 4.444 Å, c = 9.506 Å
α = 90.00°, β = 109.70°, γ = 90.00°
Space group P2_1/m (No. 11)
Symmetry-distinct sites (fractional):
Cr  0.111  0.250  0.073 x2
Fe  0.103  0.750  0.731 x2
Fe  0.296  0.750  0.535 x2
Fe  0.304  0.250  0.868 x2
Pd  0.084  0.750  0.223 x2
Pd  0.100  0.250  0.572 x2
Pd  0.288  0.750  0.024 x2
Pd  0.292  0.250  0.367 x2
Pd  0.494  0.750  0.832 x2
Pd  0.498  0.750  0.334 x2

Principal peaks in the range 2θ = 5–70°, in order of rising 2θ:
Position (°2θ)	I/Imax
27.60	10
37.89	19
38.24	15
40.60	38
43.20	100
43.51	40
56.74	11
57.00	9
68.21	8
68.82	7

=====

Entry 8:
Y2ThTe3: calculated PXRD pattern (Cu Kα X-rays), based on a crystal structure in Alexandria, relaxed with GGA-PBE.
No peak broadening, texture or thermal motion is included.

Crystal structure
a = 4.250 Å, b = 6.238 Å, c = 13.650 Å
α = 90.00°, β = 90.00°, γ = 90.00°
Space group Immm (No. 71)
Symmetry-distinct sites (fractional):
Y  0.000  0.000  0.160 x4
Th  0.000  0.000  0.500 x2
Te  0.000  0.500  0.176 x4
Te  0.000  0.500  0.500 x2

Principal peaks in the range 2θ = 5–70°, in order of rising 2θ:
Position (°2θ)	I/Imax
28.62	61
28.74	100
39.61	20
41.01	76
42.54	17
49.60	21
52.08	19
59.52	12
67.17	18
67.36	17